Diffraction record for Cr5P4O16. The powder XRD pattern is calculated, not measured: it uses a PBE+U-relaxed structure and Cu Kα X-rays.
Peak positions follow from Bragg's law for the DFT cell and can differ from measured ones.

Cell and atoms:
```
25
Lattice="5.1963 0.0000 0.0000 -1.2834 7.9860 0.0000 -0.2433 -3.4366 7.6215" Properties=species:S:1:pos:R:3 pbc="T T T"
Cr 0.0000 0.0000 0.0000
Cr 0.0984 -0.6450 5.8335
Cr 1.0107 3.5162 2.5517
Cr 2.6589 1.0333 5.0698
Cr 3.5712 5.1945 1.7881
P 0.3768 0.1152 3.2512
P 0.7389 2.1916 7.4375
P 2.9307 2.3578 0.1840
P 3.2928 4.4342 4.3704
O 0.1717 -0.8217 2.0286
O -0.6412 4.4053 3.4271
O 0.1579 4.8632 0.9047
O 0.0183 3.4297 6.9591
O 0.8213 1.4826 2.7973
O 1.3973 -0.5537 4.2636
O 0.9144 1.1924 6.2158
O 1.2563 -1.3938 7.2834
O 2.4133 5.9432 0.3382
O 2.7552 3.3570 1.4058
O 2.2722 5.1032 3.3580
O 2.8483 3.0668 4.8243
O 3.6513 1.1197 0.6625
O 3.5117 -0.3138 6.7169
O 4.3108 0.1441 4.1945
O 3.4979 5.3711 5.5929
```

The 10 most intense peaks (2θ = 10–90°), low angle first:
hkl 0 1 -1, 2θ = 12.9°, rel. 41
hkl 1 -1 0, 2θ = 19.3°, rel. 100
hkl 0 1 1, 2θ = 20.0°, rel. 61
hkl 0 2 0, 2θ = 24.5°, rel. 35
hkl 1 0 -2, 2θ = 27.8°, rel. 88
hkl 1 1 1, 2θ = 28.9°, rel. 45
hkl 1 2 -1, 2θ = 30.5°, rel. 39
hkl 1 0 2, 2θ = 30.7°, rel. 28
hkl 2 -1 0, 2θ = 35.0°, rel. 41
hkl 1 -2 3, 2θ = 37.7°, rel. 34



Diffraction record for Li3Mn4B4O12. The powder XRD pattern is calculated, not measured: it uses a PBE+U-relaxed structure and Cu Kα X-rays.
Peak positions follow from Bragg's law for the DFT cell and can differ from measured ones.

Cell and atoms:
```
23
Lattice="5.2271 0.0000 0.0000 0.3080 6.1676 0.0000 0.2474 1.3137 7.7813" Properties=species:S:1:pos:R:3 pbc="T T T"
Li 0.0000 0.0000 0.0000
Li 1.3905 6.6615 5.4041
Li 2.9709 3.6334 3.8202
Mn 1.1318 1.7950 2.6710
Mn 2.8556 2.4350 6.6398
Mn 4.0286 5.4129 6.7333
Mn 5.4588 4.9161 2.6953
B 1.1734 3.5582 0.1514
B 2.8826 5.6322 1.4687
B 3.7210 0.9478 4.0796
B 5.4733 3.2139 5.2995
O 0.5797 3.3657 1.4012
O 0.8339 5.6710 6.9717
O 0.7774 2.3543 6.2324
O 0.9457 3.5517 4.1444
O 1.5517 6.0971 1.5357
O 2.6336 4.2702 7.6921
O 3.3986 6.8147 5.2889
O 3.1467 1.7797 3.1777
O 3.4346 4.9707 2.5219
O 3.5816 5.8524 0.2788
O 4.1683 3.6997 5.4706
O 5.3592 6.6326 3.8602
```

The 10 most intense peaks (2θ = 10–90°), low angle first:
hkl 1 0 1, 2θ = 20.3°, rel. 78
hkl 1 0 -1, 2θ = 20.7°, rel. 22
hkl 1 1 0, 2θ = 21.9°, rel. 43
hkl 0 0 2, 2θ = 22.9°, rel. 74
hkl 1 1 -2, 2θ = 33.9°, rel. 25
hkl 1 -1 2, 2θ = 34.1°, rel. 30
hkl 0 2 2, 2θ = 34.3°, rel. 100
hkl 2 1 1, 2θ = 37.7°, rel. 22
hkl 2 1 -1, 2θ = 39.7°, rel. 23
hkl 0 2 -2, 2θ = 40.6°, rel. 31



Diffraction record for Fe4Bi2O9. The powder XRD pattern is calculated, not measured: it uses a PBE+U-relaxed structure and Cu Kα X-rays.
Peak positions follow from Bragg's law for the DFT cell and can differ from measured ones.

Cell and atoms:
```
30
Lattice="8.0714 0.0000 0.0000 0.0000 8.6570 0.0000 0.0000 0.0000 6.1001" Properties=species:S:1:pos:R:3 pbc="T T T"
Fe 0.0000 0.0000 1.4771
Fe 0.0000 0.0000 4.6230
Fe 1.1819 2.8961 0.0000
Fe 2.8538 7.2246 0.0000
Fe 4.0357 4.3285 1.4771
Fe 4.0357 4.3285 4.6230
Fe 5.2176 1.4324 0.0000
Fe 6.8894 5.7610 0.0000
Bi 1.4613 5.8917 3.0501
Bi 2.5744 1.5632 3.0501
Bi 5.4970 7.0939 3.0501
Bi 6.6100 2.7654 3.0501
O 0.0000 4.3285 0.0000
O 1.0107 1.7950 1.5729
O 1.0107 1.7950 4.5273
O 1.0811 7.8565 0.0000
O 1.2491 8.1046 3.0501
O 2.7866 3.7761 3.0501
O 2.9546 3.5280 0.0000
O 3.0250 6.1236 1.5729
O 3.0250 6.1236 4.5273
O 4.0357 0.0000 0.0000
O 5.0464 2.5335 1.5729
O 5.0464 2.5335 4.5273
O 5.1168 5.1291 0.0000
O 5.2847 4.8809 3.0501
O 6.8223 0.5524 3.0501
O 6.9903 0.8006 0.0000
O 7.0607 6.8620 1.5729
O 7.0607 6.8620 4.5273
```

The 10 most intense peaks (2θ = 10–90°), low angle first:
hkl 0 0 1, 2θ = 14.5°, rel. 55
hkl 2 0 1, 2θ = 26.5°, rel. 28
hkl 1 2 1, 2θ = 27.6°, rel. 100
hkl 2 1 1, 2θ = 28.5°, rel. 93
hkl 0 0 2, 2θ = 29.3°, rel. 28
hkl 1 3 0, 2θ = 33.0°, rel. 44
hkl 2 0 2, 2θ = 36.9°, rel. 29
hkl 1 4 1, 2θ = 45.9°, rel. 39
hkl 4 1 1, 2θ = 48.7°, rel. 41
hkl 3 3 2, 2θ = 55.6°, rel. 56